Structure and calculated X-ray diffraction stick pattern of LiNi9O10 (a DFT-relaxed cell (GGA+U, Alexandria); Cu Kα X-rays).
Lines closer than 0.1° are merged.

Largest 10 diffraction maxima, most intense first, 2θ from 5° to 70°:
| two_theta | intensity | (hkl) |
| --- | --- | --- |
| 37.07 | 100 | 2 0 -1 |
| 43.04 | 98 | 2 -2 1 |
| 62.54 | 70 | 2 2 -3 |
| 43.14 | 49 | 1 2 0 |
| 62.61 | 14 | 3 0 1 |
| 13.97 | 4 | 0 0 1 |
| 16.23 | 3 | 0 1 0 |
| 24.26 | 3 | 0 1 1 |
| 18.29 | 3 | 0 1 -1 |
| 18.43 | 3 | 1 0 0 |

Structure:
a b c (Å): 5.1438 5.9372 6.6489
angles (deg): 102.91 97.47 106.86
Fractional coordinates of all 20 atoms:
Li 0.0000 0.0000 0.0000
Ni 0.0000 0.5000 0.0000
Ni 0.1982 0.3963 0.3962
Ni 0.1983 0.9008 0.3967
Ni 0.3974 0.2979 0.8021
Ni 0.4023 0.8032 0.8036
Ni 0.5977 0.1968 0.1964
Ni 0.6026 0.7021 0.1979
Ni 0.8017 0.0992 0.6033
Ni 0.8018 0.6037 0.6038
O 0.0995 0.4517 0.7000
O 0.1028 0.9471 0.6916
O 0.3055 0.8465 0.1014
O 0.3062 0.3584 0.1035
O 0.4991 0.7490 0.5018
O 0.5009 0.2510 0.4982
O 0.6938 0.6416 0.8965
O 0.6945 0.1535 0.8986
O 0.8972 0.0529 0.3084
O 0.9005 0.5483 0.3000